Simulated PXRD pattern of YZnB for λ = 1.5418 Å (Cu Kα), from DFT lattice parameters and positions (GGA-PBE).

Most intense lines, 15 to 90 degrees two-theta, low angle first:
| 2θ/deg | I_rel |
| --- | --- |
| 24.18 | 17 |
| 25.31 | 13 |
| 26.85 | 17 |
| 35.85 | 100 |
| 36.64 | 43 |
| 37.76 | 32 |
| 42.24 | 23 |
| 46.96 | 21 |
| 53.59 | 14 |
| 66.39 | 15 |

Atomic structure:
abc: 4.043 3.420 7.090
angles: 90.00 96.84 90.00
Space group P2_1/m (No. 11)
Asymmetric unit:
1 Y 0.037 0.250 0.200 (multiplicity 2)
2 Zn 0.415 0.250 0.613 (multiplicity 2)
3 B 0.484 0.250 0.944 (multiplicity 2)